# 1
Structure and theoretical X-ray diffraction stick pattern of Ba2LiTmCu3O7 (DFT lattice parameters and positions (GGA-PBE); λ = 1.5418 Å (Cu Kα)).

Cell lengths 3.752, 3.991, 14.057 Å; angles 90.00, 90.00, 90.00 degrees
Space group Pmm2 (No. 25)
Unique sites:
1 Ba 0.000 0.000 0.000 (multiplicity 1)
2 Ba 0.000 0.000 0.292 (multiplicity 1)
3 Li 0.000 0.000 0.743 (multiplicity 1)
4 Tm 0.000 0.000 0.556 (multiplicity 1)
5 Cu 0.500 0.500 0.141 (multiplicity 1)
6 Cu 0.500 0.500 0.448 (multiplicity 1)
7 Cu 0.500 0.500 0.689 (multiplicity 1)
8 O 0.000 0.500 0.485 (multiplicity 1)
9 O 0.000 0.500 0.706 (multiplicity 1)
10 O 0.500 0.000 0.139 (multiplicity 1)
11 O 0.500 0.000 0.463 (multiplicity 1)
12 O 0.500 0.000 0.670 (multiplicity 1)
13 O 0.500 0.500 0.004 (multiplicity 1)
14 O 0.500 0.500 0.276 (multiplicity 1)

Top 10 peaks for 15 to 90 degrees two-theta, sorted by position:
29.40°, I 50
30.52°, I 49
32.76°, I 100
33.99°, I 56
34.98°, I 65
41.87°, I 22
45.46°, I 32
48.52°, I 26
56.89°, I 35
58.61°, I 28

# 2
Structure and theoretical X-ray diffraction stick pattern of Tl9SbTe6 (DFT lattice parameters and positions (GGA-PBE); λ = 1.5418 Å (Cu Kα)).

Cell lengths 8.942, 8.942, 13.546 Å; angles 90.00, 90.00, 90.00 degrees
Space group I4 (No. 79)
Unique sites:
1 Tl 0.000 0.000 0.000 (multiplicity 2)
2 Tl 0.143 0.649 0.340 (multiplicity 8)
3 Tl 0.145 0.351 0.155 (multiplicity 8)
4 Sb 0.000 0.000 0.504 (multiplicity 2)
5 Te 0.000 0.000 0.253 (multiplicity 2)
6 Te 0.000 0.000 0.726 (multiplicity 2)
7 Te 0.150 0.322 0.496 (multiplicity 8)

Top 10 peaks for 15 to 90 degrees two-theta, sorted by position:
23.19°, I 7
29.85°, I 100
31.64°, I 44
39.93°, I 9
46.45°, I 10
48.81°, I 7
51.82°, I 11
59.30°, I 18
60.05°, I 7
66.36°, I 7